No. 1
Calculated X-ray diffraction stick pattern of DyYAlNi for Cu Kα, 1.54184 Å, from a structure optimized by DFT (GGA-PBE).

Most intense lines, 5 to 70 degrees two-theta, by angle:
2θ/deg, I_rel
21.9, 12.2
25.3, 26.6
36.1, 100.0
42.6, 6.9
44.6, 7.9
52.0, 17.3
57.0, 2.9
58.6, 10.7
64.9, 34.9
69.4, 2.2

Cell and atoms:
Unit cell a=4.978 b=4.978 c=4.978 alpha=60.00 beta=60.00 gamma=60.00
Sites, in units of the cell vectors:
1 Dy 0.000 0.000 0.000
2 Y 0.500 0.500 0.500
3 Al 0.250 0.250 0.250
4 Ni 0.750 0.750 0.750


No. 2
Calculated X-ray diffraction stick pattern of Nb3AlP6O24 for Cu Kα, 1.54184 Å, from a structure optimized by DFT (GGA-PBE).

Most intense lines, 5 to 70 degrees two-theta, by angle:
2θ/deg, I_rel
14.2, 65.3
19.8, 100.0
20.4, 61.0
23.7, 98.1
28.6, 70.6
31.7, 63.4
35.4, 23.1
35.8, 22.4
52.1, 21.3
56.0, 20.5

Cell and atoms:
Unit cell a=8.976 b=8.976 c=8.976 alpha=57.90 beta=57.90 gamma=57.90
Sites, in units of the cell vectors:
1 Nb 0.000 0.000 0.000
2 Nb 0.216 0.216 0.216
3 Nb 0.718 0.718 0.718
4 Al 0.501 0.501 0.501
5 P 0.125 0.390 0.812
6 P 0.329 0.877 0.609
7 P 0.390 0.812 0.125
8 P 0.609 0.329 0.877
9 P 0.812 0.125 0.390
10 P 0.877 0.609 0.329
11 O 0.061 0.439 0.294
12 O 0.091 0.218 0.850
13 O 0.136 0.361 0.993
14 O 0.153 0.913 0.784
15 O 0.218 0.850 0.091
16 O 0.294 0.061 0.439
17 O 0.295 0.417 0.642
18 O 0.355 0.709 0.587
19 O 0.361 0.993 0.136
20 O 0.417 0.642 0.295
21 O 0.439 0.294 0.061
22 O 0.496 0.860 0.633
23 O 0.564 0.788 0.944
24 O 0.587 0.355 0.709
25 O 0.633 0.496 0.860
26 O 0.642 0.295 0.417
27 O 0.709 0.587 0.355
28 O 0.784 0.153 0.913
29 O 0.788 0.944 0.564
30 O 0.850 0.091 0.218
31 O 0.860 0.633 0.496
32 O 0.913 0.784 0.153
33 O 0.944 0.564 0.788
34 O 0.993 0.136 0.361


No. 3
Calculated X-ray diffraction stick pattern of K2Ti6O13 for Cu Kα, 1.54184 Å, from a structure optimized by DFT (GGA-PBE).

Most intense lines, 5 to 70 degrees two-theta, by angle:
2θ/deg, I_rel
11.4, 82.0
13.6, 43.4
24.0, 22.0
29.0, 58.4
29.7, 100.0
31.8, 20.3
32.8, 35.9
42.4, 33.9
43.0, 31.9
47.6, 41.6

Cell and atoms:
Unit cell a=8.136 b=8.136 c=9.235 alpha=99.78 beta=99.78 gamma=27.16
Sites, in units of the cell vectors:
1 K 0.045 0.045 0.251
2 K 0.955 0.955 0.749
3 Ti 0.268 0.268 0.724
4 Ti 0.328 0.328 0.062
5 Ti 0.385 0.385 0.404
6 Ti 0.615 0.615 0.596
7 Ti 0.672 0.672 0.938
8 Ti 0.732 0.732 0.276
9 O 0.142 0.142 0.612
10 O 0.203 0.203 0.929
11 O 0.261 0.261 0.260
12 O 0.334 0.334 0.586
13 O 0.365 0.365 0.885
14 O 0.421 0.421 0.210
15 O 0.500 0.500 0.500
16 O 0.579 0.579 0.790
17 O 0.635 0.635 0.115
18 O 0.666 0.666 0.414
19 O 0.739 0.739 0.740
20 O 0.797 0.797 0.071
21 O 0.858 0.858 0.388


No. 4
Calculated X-ray diffraction stick pattern of Y2Sc4S9 for Cu Kα, 1.54184 Å, from a structure optimized by DFT (GGA-PBE).

Most intense lines, 5 to 70 degrees two-theta, by angle:
2θ/deg, I_rel
18.4, 49.7
25.2, 69.5
26.9, 37.9
30.9, 71.7
37.2, 41.9
40.7, 100.0
46.5, 34.5
47.6, 60.4
53.5, 17.7
64.3, 21.7

Cell and atoms:
Unit cell a=6.621 b=6.621 c=17.944 alpha=90.00 beta=90.00 gamma=120.00
Sites, in units of the cell vectors:
1 Y 0.000 0.000 0.148
2 Y 0.000 0.000 0.352
3 Y 0.000 0.000 0.648
4 Y 0.000 0.000 0.852
5 Sc 0.333 0.667 0.181
6 Sc 0.333 0.667 0.489
7 Sc 0.333 0.667 0.681
8 Sc 0.333 0.667 0.989
9 Sc 0.667 0.333 0.011
10 Sc 0.667 0.333 0.319
11 Sc 0.667 0.333 0.511
12 Sc 0.667 0.333 0.819
13 S 0.000 0.318 0.250
14 S 0.000 0.682 0.750
15 S 0.024 0.378 0.583
16 S 0.024 0.646 0.083
17 S 0.318 0.000 0.250
18 S 0.318 0.318 0.750
19 S 0.354 0.378 0.083
20 S 0.354 0.976 0.583
21 S 0.378 0.024 0.917
22 S 0.378 0.354 0.417
23 S 0.622 0.646 0.583
24 S 0.622 0.976 0.083
25 S 0.646 0.024 0.417
26 S 0.646 0.622 0.917
27 S 0.682 0.000 0.750
28 S 0.682 0.682 0.250
29 S 0.976 0.354 0.917
30 S 0.976 0.622 0.417